Starting from a structure optimized by DFT (PBE), the powder X-ray diffraction pattern of FeHgH16C8S8N12 was simulated for Cu Kα, 1.54184 Å.
Neutral-atom scattering factors, no anomalous dispersion.

Structural model:
```
FeHgH16C8S8N12
1.0
-8.621 8.621 2.041
8.621 -8.621 2.041
8.621 8.621 -2.041
Fe Hg H C S N
1 1 16 8 8 12
Cartesian
0.000 0.000 0.000
0.000 8.621 1.020
14.035 1.117 -0.253
6.053 3.859 -0.862
13.473 -0.391 0.464
8.230 -4.852 1.577
3.768 0.391 0.464
1.117 3.206 0.253
4.762 -2.568 2.903
2.568 4.762 1.179
-2.131 6.387 0.972
2.234 6.490 1.068
9.012 4.852 1.577
3.859 11.189 0.862
2.131 10.855 0.972
-5.415 7.504 1.788
7.504 5.415 2.293
-2.234 10.751 1.068
10.293 6.451 -0.495
0.837 5.247 0.215
-1.672 2.170 1.546
6.451 6.949 0.495
2.170 1.672 2.535
-0.837 11.994 0.215
-3.374 7.784 1.825
3.374 9.458 1.825
10.789 -0.253 0.377
6.453 0.253 0.377
8.368 -2.168 1.663
5.274 6.147 -0.270
11.095 5.274 0.270
8.873 2.168 1.663
3.347 2.474 1.771
-2.474 3.347 2.311
13.264 0.502 0.010
9.686 7.303 -1.064
0.502 3.978 -0.010
-1.065 1.318 0.976
1.991 5.526 0.812
-3.095 6.630 1.229
7.303 7.555 1.064
8.119 4.643 2.030
1.318 1.065 3.105
-1.991 11.716 0.812
3.095 10.612 1.229
-4.643 8.119 2.051
```

Largest 8 diffraction maxima, low angle first, 2θ from 5° to 70°:
2θ (°)  Rel. int.
7.25  58
10.26  100
14.53  23
16.26  23
23.07  27
26.79  38
28.76  32
34.04  38